Record 1
Diffraction record for CsInCuP6O18. The powder XRD pattern is calculated, not measured: it uses the PBE geometry in Alexandria and Cu Kα X-rays.
Intensities are scaled so that the largest is 100.

Crystal structure
a b c (Å): 5.221 9.112 9.497
angles (deg): 85.27 74.44 73.40
Space group P1 (No. 1)
Symmetry-distinct sites (fractional):
1 Cs 0.000 0.000 0.000 (multiplicity 1)
2 In 0.995 0.994 0.505 (multiplicity 1)
3 Cu 0.495 0.494 0.005 (multiplicity 1)
4 P 0.128 0.453 0.806 (multiplicity 1)
5 P 0.243 0.235 0.257 (multiplicity 1)
6 P 0.347 0.233 0.553 (multiplicity 1)
7 P 0.643 0.755 0.457 (multiplicity 1)
8 P 0.747 0.753 0.753 (multiplicity 1)
9 P 0.863 0.535 0.204 (multiplicity 1)
10 O 0.033 0.632 0.766 (multiplicity 1)
11 O 0.092 0.588 0.100 (multiplicity 1)
12 O 0.171 0.083 0.295 (multiplicity 1)
13 O 0.182 0.384 0.645 (multiplicity 1)
14 O 0.211 0.105 0.609 (multiplicity 1)
15 O 0.295 0.298 0.399 (multiplicity 1)
16 O 0.340 0.789 0.465 (multiplicity 1)
17 O 0.403 0.420 0.841 (multiplicity 1)
18 O 0.471 0.239 0.126 (multiplicity 1)
19 O 0.518 0.747 0.883 (multiplicity 1)
20 O 0.588 0.567 0.169 (multiplicity 1)
21 O 0.650 0.198 0.546 (multiplicity 1)
22 O 0.697 0.689 0.611 (multiplicity 1)
23 O 0.778 0.883 0.402 (multiplicity 1)
24 O 0.808 0.604 0.364 (multiplicity 1)
25 O 0.818 0.904 0.715 (multiplicity 1)
26 O 0.899 0.399 0.910 (multiplicity 1)
27 O 0.957 0.356 0.244 (multiplicity 1)

Peak list (6 most intense, 5° ≤ 2θ ≤ 70°, in order of falling intensity)
| h k l | 2theta | d (Å) | I/Imax |
| --- | --- | --- | --- |
| 1 -1 0 | 23.37 | 3.807 | 100 |
| 1 1 2 | 23.05 | 3.858 | 63 |
| 0 1 1 | 13.99 | 6.331 | 48 |
| 1 3 0 | 31.18 | 2.869 | 35 |
| 0 1 -2 | 21.99 | 4.042 | 34 |
| 0 0 2 | 19.40 | 4.574 | 25 |

---

Record 2
Diffraction record for La4Sm5Tm. The powder XRD pattern is calculated, not measured: it uses the PBE geometry in Alexandria and Cu Kα X-rays.
Intensities are scaled so that the largest is 100.

Crystal structure
a b c (Å): 17.422 3.600 11.471
angles (deg): 90.00 90.51 90.00
Space group C2/m (No. 12)
Symmetry-distinct sites (fractional):
1 La 0.030 0.000 0.248 (multiplicity 4)
2 La 0.160 0.500 0.749 (multiplicity 4)
3 Sm 0.000 0.500 0.500 (multiplicity 2)
4 Sm 0.172 0.000 0.050 (multiplicity 4)
5 Sm 0.173 0.000 0.446 (multiplicity 4)
6 Tm 0.000 0.500 0.000 (multiplicity 2)

Peak list (6 most intense, 5° ≤ 2θ ≤ 70°, in order of falling intensity)
| h k l | 2theta | d (Å) | I/Imax |
| --- | --- | --- | --- |
| 3 1 2 | 33.25 | 2.694 | 100 |
| 3 1 -2 | 33.12 | 2.705 | 98 |
| 0 0 4 | 31.22 | 2.865 | 62 |
| 6 0 0 | 30.79 | 2.904 | 59 |
| 1 1 1 | 26.45 | 3.370 | 44 |
| 1 1 -5 | 47.27 | 1.923 | 29 |